Structure and theoretical XRD peak list of Li9Fe2O8 (a crystal structure in Alexandria, relaxed with PBE+U; Cu Kα X-rays).

Atomic structure:
```
data_Li9Fe2O8
_chemical_formula_sum 'Li18 Fe4 O16'
_cell_length_a 9.178
_cell_length_b 9.115
_cell_length_c 4.700
_cell_angle_alpha 90.00
_cell_angle_beta 90.71
_cell_angle_gamma 90.00
_symmetry_space_group_name_H-M 'C 1 2 1'
_symmetry_Int_Tables_number 5
loop_
_symmetry_equiv_pos_as_xyz
'x,y,z'
'-x,y,-z'
'x+1/2,y+1/2,z'
'-x+1/2,y+1/2,-z'
loop_
_atom_site_label
_atom_site_fract_x
_atom_site_fract_y
_atom_site_fract_z
Li1 0.000 0.000 0.000
Li2 0.000 0.085 0.500
Li3 0.000 0.592 0.000
Li4 0.212 0.309 0.507
Li5 0.230 0.557 0.567
Li6 0.248 0.056 0.938
Fe1 0.000 0.304 0.000
Fe2 0.000 0.800 0.500
O1 0.118 0.167 0.212
O2 0.123 0.435 0.812
O3 0.129 0.937 0.676
O4 0.130 0.684 0.302
```

Largest 10 diffraction maxima, in order of falling intensity, 2θ = 15–90°:
- 23.5 deg, d 3.786, rel. 100.0
- 23.3 deg, d 3.817, rel. 92.5
- 27.6 deg, d 3.234, rel. 45.9
- 19.3 deg, d 4.589, rel. 44.8
- 33.8 deg, d 2.653, rel. 33.7
- 36.6 deg, d 2.455, rel. 33.4
- 33.5 deg, d 2.675, rel. 29.1
- 19.5 deg, d 4.558, rel. 28.9
- 57.0 deg, d 1.617, rel. 27.5
- 56.2 deg, d 1.636, rel. 23.0